No. 1
Pm4NdZn4: calculated powder diffractogram (λ = 1.5418 Å (Cu Kα)), based on DFT lattice parameters and positions (PBE).
Lines closer than 0.1° are merged.

```
Pm4NdZn4
1.0
-4.861 4.861 2.597
4.861 -4.861 2.597
4.861 4.861 -2.597
Pm Nd Zn
4 1 4
direct
0.111 0.655 0.766 Pm
0.345 0.111 0.456 Pm
0.655 0.889 0.544 Pm
0.889 0.345 0.234 Pm
0.000 0.000 0.000 Nd
0.323 0.425 0.748 Zn
0.425 0.677 0.103 Zn
0.575 0.323 0.897 Zn
0.677 0.575 0.252 Zn
```

Peak list (8 most intense, 15° ≤ 2θ ≤ 90°, low angle first)
| 2theta | intensity |
| --- | --- |
| 26.74 | 100.0 |
| 29.04 | 61.1 |
| 32.57 | 35.4 |
| 34.53 | 48.7 |
| 37.58 | 91.4 |
| 45.73 | 35.3 |
| 60.62 | 23.1 |
| 63.89 | 28.9 |

=====

No. 2
Ba2Tl2H4Ru: calculated powder diffractogram (λ = 1.5418 Å (Cu Kα)), based on DFT lattice parameters and positions (PBE).
Lines closer than 0.1° are merged.

```
Ba2Tl2H4Ru
1.0
-3.386 3.386 4.003
3.386 -3.386 4.003
3.386 3.386 -4.003
Ba Tl H Ru
2 2 4 1
direct
0.250 0.750 0.500 Ba
0.750 0.250 0.500 Ba
0.171 0.171 0.000 Tl
0.829 0.829 0.000 Tl
0.317 0.317 0.634 H
0.317 0.683 0.000 H
0.683 0.317 0.000 H
0.683 0.683 0.366 H
0.500 0.500 0.000 Ru
```

Peak list (8 most intense, 15° ≤ 2θ ≤ 90°, low angle first)
| 2theta | intensity |
| --- | --- |
| 18.53 | 22.6 |
| 26.32 | 100.0 |
| 34.70 | 24.5 |
| 36.18 | 38.2 |
| 37.57 | 40.0 |
| 45.30 | 41.2 |
| 60.26 | 19.0 |
| 61.22 | 19.3 |

=====

Question: What is the formula in the first record?
Answer: Pm4NdZn4